Entry 1:
For ThInPb3, a structure optimized by DFT (GGA-PBE) gives the computed X-ray diffraction stick pattern in this record (copper Kα).
Neutral-atom scattering factors, no anomalous dispersion.

Peak list (8 most intense, 10° ≤ 2θ ≤ 90°, by angle)
(0 1 2), 29.18°, I 100.0; (1 0 -2), 29.35°, I 36.1; (1 0 3), 32.91°, I 39.9; (0 1 -3), 33.03°, I 60.4; (0 0 5), 34.20°, I 53.2; (1 1 1), 37.29°, I 41.7; (1 -1 1), 37.58°, I 41.0; (0 2 0), 52.99°, I 33.1

Cell and atoms:
Cell lengths 3.4536, 3.4584, 13.1083 Å; angles 89.99, 89.46, 89.56 degrees
Space group P1 (No. 1)
Symmetry-distinct sites (fractional):
Th  0.0000  0.0000  0.0000
In  0.0312  0.5022  0.5984
Pb  0.4899  0.5008  0.1897
Pb  0.5096  0.5001  0.8115
Pb  0.5347  0.0027  0.4132

---

Entry 2:
For Th2InPb, a structure optimized by DFT (GGA-PBE) gives the computed X-ray diffraction stick pattern in this record (copper Kα).
Neutral-atom scattering factors, no anomalous dispersion.

Peak list (8 most intense, 10° ≤ 2θ ≤ 90°, by angle)
(2 2 0), 31.63°, I 100.0; (0 2 1), 31.78°, I 98.8; (2 0 1), 35.78°, I 72.4; (0 4 0), 38.70°, I 29.3; (2 4 1), 53.72°, I 46.0; (4 2 1), 61.62°, I 30.6; (2 2 2), 61.88°, I 30.2; (2 6 0), 65.70°, I 25.3

Cell and atoms:
Cell lengths 7.1241, 9.3062, 3.5368 Å; angles 90.00, 90.00, 90.00 degrees
Space group Cmmm (No. 65)
Symmetry-distinct sites (fractional):
Th  0.2500  0.2500  0.0000
In  0.0000  0.0000  0.5000
Pb  0.0000  0.5000  0.5000

---

Entry 3:
For Ti12InPb3, a structure optimized by DFT (GGA-PBE) gives the computed X-ray diffraction stick pattern in this record (copper Kα).
Neutral-atom scattering factors, no anomalous dispersion.

Peak list (8 most intense, 10° ≤ 2θ ≤ 90°, by angle)
(1 1 0), 23.83°, I 72.5; (2 0 0), 33.96°, I 44.8; (2 0 2), 38.11°, I 22.9; (2 1 2), 41.91°, I 100.0; (1 0 6), 55.00°, I 16.7; (3 1 4), 66.23°, I 50.9; (4 0 4), 81.52°, I 12.1; (3 2 6), 86.44°, I 12.7

Cell and atoms:
Cell lengths 5.2773, 5.2785, 10.5687 Å; angles 90.00, 90.00, 90.00 degrees
Space group Pmmm (No. 47)
Symmetry-distinct sites (fractional):
Ti  0.0000  0.0000  0.1225
Ti  0.0000  0.0000  0.3735
Ti  0.2493  0.5000  0.5000
Ti  0.2526  0.5000  0.0000
Ti  0.5000  0.2488  0.2479
In  0.5000  0.0000  0.0000
Pb  0.0000  0.5000  0.2502
Pb  0.5000  0.0000  0.5000

---

Entry 4:
For Ti5InPb2, a structure optimized by DFT (GGA-PBE) gives the computed X-ray diffraction stick pattern in this record (copper Kα).
Neutral-atom scattering factors, no anomalous dispersion.

Peak list (8 most intense, 10° ≤ 2θ ≤ 90°, by angle)
(0 0 2), 14.18°, I 24.2; (1 1 0), 25.31°, I 37.9; (1 1 2), 29.13°, I 23.3; (2 0 0), 36.10°, I 62.2; (1 1 4), 38.54°, I 100.0; (2 0 4), 46.68°, I 15.0; (2 2 0), 51.98°, I 21.4; (3 1 4), 66.54°, I 38.7

Cell and atoms:
Cell lengths 4.9763, 4.9763, 12.4920 Å; angles 90.00, 90.00, 90.00 degrees
Space group I4/mmm (No. 139)
Symmetry-distinct sites (fractional):
Ti  0.0000  0.0000  0.0000
Ti  0.0000  0.5000  0.1206
In  0.0000  0.0000  0.5000
Pb  0.0000  0.0000  0.2403